# 1
The following is a calculated PXRD pattern of TaNbC2. It was derived from a DFT-relaxed cell (GGA-PBE, the Materials Project), using copper Kα.
Neutral-atom scattering factors, no anomalous dispersion.

The 10 most intense peaks (2θ from 10° to 80°), in order of falling intensity:
2theta	d_spacing	I/Imax
34.55	2.596	100
40.10	2.248	67
58.01	1.590	45
69.30	1.356	41
17.06	5.198	14
72.89	1.298	11
33.05	2.710	9
43.87	2.064	4
72.78	1.299	4
52.87	1.732	3

Structural model:
Cell lengths 5.5122, 5.5122, 5.5122 Å; angles 33.51, 33.51, 33.51 degrees
Element x y z (fractional)
Ta: 0.0000 0.0000 0.0000
Nb: 0.5000 0.5000 0.5000
C: 0.2515 0.2515 0.2515
C: 0.7485 0.7485 0.7485

# 2
The following is a calculated PXRD pattern of Ta2Ti2NbC5. It was derived from a DFT-relaxed cell (GGA-PBE, the Materials Project), using copper Kα.
Neutral-atom scattering factors, no anomalous dispersion.

The 10 most intense peaks (2θ from 10° to 80°), in order of falling intensity:
2theta	d_spacing	I/Imax
35.03	2.562	100
40.71	2.216	95
70.41	1.337	40
35.18	2.551	33
58.84	1.569	31
59.04	1.565	30
33.29	2.691	20
36.93	2.434	18
74.01	1.281	15
27.98	3.189	13

Structural model:
Cell lengths 12.8834, 12.8834, 12.8834 Å; angles 13.99, 13.99, 13.99 degrees
Element x y z (fractional)
Ta: 0.0000 0.0000 0.0000
Ta: 0.4016 0.4016 0.4016
Ti: 0.1988 0.1988 0.1988
Ti: 0.8013 0.8013 0.8013
Nb: 0.5984 0.5984 0.5984
C: 0.1015 0.1015 0.1015
C: 0.3001 0.3001 0.3001
C: 0.4998 0.4998 0.4998
C: 0.7007 0.7007 0.7007
C: 0.8980 0.8980 0.8980

# 3
The following is a calculated PXRD pattern of TiNbC2. It was derived from a DFT-relaxed cell (GGA-PBE, the Materials Project), using copper Kα.
Neutral-atom scattering factors, no anomalous dispersion.

The 10 most intense peaks (2θ from 10° to 80°), in order of falling intensity:
2theta	d_spacing	I/Imax
40.76	2.214	100
35.08	2.558	86
70.52	1.335	33
58.94	1.567	31
59.09	1.563	31
35.19	2.550	29
17.39	5.101	24
33.53	2.672	15
74.14	1.279	15
70.67	1.333	11

Structural model:
Cell lengths 5.4120, 5.4120, 5.4120 Å; angles 33.66, 33.66, 33.66 degrees
Element x y z (fractional)
Ti: 0.0000 0.0000 0.0000
Nb: 0.5000 0.5000 0.5000
C: 0.2524 0.2524 0.2524
C: 0.7476 0.7476 0.7476

# 4
The following is a calculated PXRD pattern of UNbC2. It was derived from a DFT-relaxed cell (GGA-PBE, the Materials Project), using copper Kα.
Neutral-atom scattering factors, no anomalous dispersion.

The 10 most intense peaks (2θ from 10° to 80°), in order of falling intensity:
2theta	d_spacing	I/Imax
33.30	2.691	100
38.26	2.353	89
31.96	2.800	58
66.03	1.415	33
15.83	5.600	33
54.33	1.688	32
56.09	1.640	29
66.82	1.400	20
69.93	1.345	18
64.44	1.446	16

Structural model:
Cell lengths 5.9110, 5.9110, 5.9110 Å; angles 32.21, 32.21, 32.21 degrees
Element x y z (fractional)
U: 0.0000 0.0000 0.0000
Nb: 0.5000 0.5000 0.5000
C: 0.2435 0.2435 0.2435
C: 0.7565 0.7565 0.7565

# 5
The following is a calculated PXRD pattern of Nb4WC5. It was derived from a DFT-relaxed cell (GGA-PBE, the Materials Project), using copper Kα.
Neutral-atom scattering factors, no anomalous dispersion.

The 10 most intense peaks (2θ from 10° to 80°), in order of falling intensity:
2theta	d_spacing	I/Imax
34.72	2.584	100
40.31	2.238	71
69.72	1.349	30
58.26	1.584	23
58.38	1.581	23
73.33	1.291	11
69.59	1.351	10
13.68	6.472	6
73.11	1.294	4
20.58	4.315	2

Structural model:
Cell lengths 13.0723, 13.0723, 13.0723 Å; angles 13.89, 13.89, 13.89 degrees
Element x y z (fractional)
Nb: 0.1006 0.1006 0.1006
Nb: 0.2998 0.2998 0.2998
Nb: 0.7002 0.7002 0.7002
Nb: 0.8994 0.8994 0.8994
W: 0.5000 0.5000 0.5000
C: 0.0000 0.0000 0.0000
C: 0.1983 0.1983 0.1983
C: 0.4006 0.4006 0.4006
C: 0.5994 0.5994 0.5994
C: 0.8017 0.8017 0.8017

# 6
The following is a calculated PXRD pattern of Nb8Zn4C3. It was derived from a DFT-relaxed cell (GGA-PBE, the Materials Project), using copper Kα.
Neutral-atom scattering factors, no anomalous dispersion.

The 10 most intense peaks (2θ from 10° to 80°), in order of falling intensity:
2theta	d_spacing	I/Imax
38.96	2.312	100
42.58	2.123	35
36.65	2.452	33
65.99	1.416	33
79.37	1.207	16
32.49	2.756	15
67.54	1.387	10
59.07	1.564	7
45.30	2.002	6
63.38	1.467	5

Structural model:
Cell lengths 8.4935, 8.4935, 8.4935 Å; angles 60.00, 60.00, 60.00 degrees
Element x y z (fractional)
Nb: 0.0000 0.0000 0.0000
Nb: 0.0000 0.0000 0.5000
Nb: 0.0000 0.5000 0.0000
Nb: 0.1855 0.1855 0.5645
Nb: 0.1855 0.5645 0.1855
Nb: 0.1855 0.5645 0.5645
Nb: 0.4355 0.4355 0.8145
Nb: 0.4355 0.8145 0.4355
Nb: 0.4355 0.8145 0.8145
Nb: 0.5000 0.0000 0.0000
Nb: 0.5645 0.1855 0.1855
Nb: 0.5645 0.1855 0.5645
Nb: 0.5645 0.5645 0.1855
Nb: 0.8145 0.4355 0.4355
Nb: 0.8145 0.4355 0.8145
Nb: 0.8145 0.8145 0.4355
Zn: 0.1367 0.7878 0.7878
Zn: 0.2122 0.2122 0.2122
Zn: 0.2122 0.2122 0.8633
Zn: 0.2122 0.8633 0.2122
Zn: 0.7878 0.1367 0.7878
Zn: 0.7878 0.7878 0.1367
Zn: 0.7878 0.7878 0.7878
Zn: 0.8633 0.2122 0.2122
C: 0.0000 0.5000 0.5000
C: 0.3750 0.3750 0.3750
C: 0.5000 0.0000 0.5000
C: 0.5000 0.5000 0.0000
C: 0.5000 0.5000 0.5000
C: 0.6250 0.6250 0.6250

# 7
The following is a calculated PXRD pattern of Nb4Zn2C. It was derived from a DFT-relaxed cell (GGA-PBE, the Materials Project), using copper Kα.
Neutral-atom scattering factors, no anomalous dispersion.

The 10 most intense peaks (2θ from 10° to 80°), in order of falling intensity:
2theta	d_spacing	I/Imax
39.17	2.300	100
42.81	2.113	37
36.85	2.439	36
66.38	1.408	32
32.66	2.742	17
79.86	1.201	16
67.93	1.380	10
59.41	1.556	8
45.54	1.992	5
63.75	1.460	5

Structural model:
Cell lengths 8.4501, 8.4501, 8.4501 Å; angles 60.00, 60.00, 60.00 degrees
Element x y z (fractional)
Nb: 0.0000 0.0000 0.0000
Nb: 0.0000 0.0000 0.5000
Nb: 0.0000 0.5000 0.0000
Nb: 0.1852 0.1852 0.5648
Nb: 0.1852 0.5648 0.1852
Nb: 0.1852 0.5648 0.5648
Nb: 0.4352 0.4352 0.8148
Nb: 0.4352 0.8148 0.4352
Nb: 0.4352 0.8148 0.8148
Nb: 0.5000 0.0000 0.0000
Nb: 0.5648 0.1852 0.1852
Nb: 0.5648 0.1852 0.5648
Nb: 0.5648 0.5648 0.1852
Nb: 0.8148 0.4352 0.4352
Nb: 0.8148 0.4352 0.8148
Nb: 0.8148 0.8148 0.4352
Zn: 0.1429 0.7857 0.7857
Zn: 0.2143 0.2143 0.2143
Zn: 0.2143 0.2143 0.8571
Zn: 0.2143 0.8571 0.2143
Zn: 0.7857 0.1429 0.7857
Zn: 0.7857 0.7857 0.1429
Zn: 0.7857 0.7857 0.7857
Zn: 0.8571 0.2143 0.2143
C: 0.0000 0.5000 0.5000
C: 0.5000 0.0000 0.5000
C: 0.5000 0.5000 0.0000
C: 0.5000 0.5000 0.5000

# 8
The following is a calculated PXRD pattern of ZrNb3C4. It was derived from a DFT-relaxed cell (GGA-PBE, the Materials Project), using copper Kα.
Neutral-atom scattering factors, no anomalous dispersion.

The 9 most intense peaks (2θ from 10° to 80°), in order of falling intensity:
2theta	d_spacing	I/Imax
39.55	2.279	100
34.10	2.629	98
68.29	1.373	39
33.99	2.638	33
57.24	1.609	32
57.09	1.613	32
71.81	1.315	16
68.14	1.376	13
71.55	1.319	5

Structural model:
Cell lengths 10.7125, 10.7125, 10.7125 Å; angles 17.28, 17.28, 17.28 degrees
Element x y z (fractional)
Zr: 0.0000 0.0000 0.0000
Nb: 0.2483 0.2483 0.2483
Nb: 0.5000 0.5000 0.5000
Nb: 0.7517 0.7517 0.7517
C: 0.1258 0.1258 0.1258
C: 0.3777 0.3777 0.3777
C: 0.6223 0.6223 0.6223
C: 0.8742 0.8742 0.8742